(1)
Diffraction record for Na4Ca2P2SO12. The powder diffractogram is computed, not measured: it uses a cell relaxed with PBE and Cu Kα, 1.54184 Å.

Cell and atoms:
Unit cell a=16.2356 b=9.5114 c=9.4166 alpha=90.00 beta=124.64 gamma=90.00
Space group Cc (No. 9)
Unique sites:
Na  0.0000  0.0551  0.0000 x4
Na  0.0695  0.2351  0.3941 x4
Na  0.1480  0.4262  0.7806 x4
Na  0.3019  0.1216  0.6328 x4
Ca  0.2172  0.2509  0.2293 x4
Ca  0.4103  0.2554  0.0359 x4
P  0.1611  0.0956  0.8266 x4
P  0.3137  0.4400  0.6344 x4
S  0.4679  0.0960  0.4405 x4
O  0.0525  0.3365  0.1022 x4
O  0.0748  0.1691  0.6575 x4
O  0.1510  0.0675  0.3037 x4
O  0.1568  0.1299  0.9830 x4
O  0.2380  0.3463  0.4762 x4
O  0.2504  0.4684  0.1744 x4
O  0.2600  0.1503  0.8578 x4
O  0.3735  0.1522  0.4097 x4
O  0.3768  0.4652  0.0970 x4
O  0.3895  0.3434  0.7887 x4
O  0.4722  0.1273  0.2900 x4
O  0.4747  0.0600  0.9640 x4

The 8 most intense peaks (2θ = 10–90°), by angle:
18.9°, I = 21, (2 0 -2)
22.0°, I = 45, (2 2 -1)
22.0°, I = 21, (3 1 0)
29.0°, I = 25, (2 2 1)
30.0°, I = 100, (3 1 -3)
32.6°, I = 70, (2 0 2)
44.9°, I = 28, (2 2 -4)
56.6°, I = 19, (6 4 0)

(2)
Diffraction record for Na3CaScP2SO12. The powder diffractogram is computed, not measured: it uses a cell relaxed with PBE and Cu Kα, 1.54184 Å.

Cell and atoms:
Unit cell a=15.9629 b=9.2707 c=9.3631 alpha=90.00 beta=125.05 gamma=90.00
Space group Cc (No. 9)
Unique sites:
Na  0.0000  0.0671  0.0000 x4
Na  0.0709  0.2391  0.7409 x4
Na  0.1368  0.4320  0.4936 x4
Ca  0.2149  0.2416  0.1852 x4
Sc  0.4032  0.2574  0.7834 x4
P  0.1553  0.1077  0.4745 x4
P  0.3115  0.4542  0.9798 x4
S  0.4618  0.0942  0.4917 x4
O  0.0515  0.3416  0.0036 x4
O  0.0667  0.1899  0.4709 x4
O  0.1440  0.0545  0.9944 x4
O  0.1452  0.1332  0.3049 x4
O  0.2391  0.3604  0.9983 x4
O  0.2459  0.4558  0.3146 x4
O  0.2582  0.1761  0.6321 x4
O  0.3716  0.1583  0.3380 x4
O  0.3788  0.4433  0.6437 x4
O  0.3919  0.3633  0.9703 x4
O  0.4652  0.1250  0.6516 x4
O  0.4661  0.0662  0.9743 x4

The 8 most intense peaks (2θ = 10–90°), by angle:
13.4°, I = 30, (1 1 -1)
19.0°, I = 39, (2 0 -2)
22.4°, I = 96, (0 2 1)
22.6°, I = 48, (3 1 0)
30.2°, I = 100, (0 2 2)
30.4°, I = 50, (3 1 1)
33.5°, I = 52, (3 3 -1)
45.8°, I = 35, (6 2 -4)